# 1
This entry pairs a crystal structure of CaMnAs2O7 with its theoretical PXRD pattern. Radiation: CuKα. Structure: DFT lattice parameters and positions (GGA+U).
Lines closer than 0.1° are merged.

Cell lengths 7.609, 9.234, 9.634 Å; angles 90.00, 111.67, 90.00 degrees
Space group P2_1/c (No. 14)
Unique sites:
Ca: 0.241 0.067 0.070
Mn: 0.300 0.055 0.690
As: 0.080 0.736 0.767
As: 0.483 0.708 0.046
O: 0.064 0.632 0.616
O: 0.122 0.232 0.696
O: 0.155 0.591 0.274
O: 0.255 0.645 0.925
O: 0.357 0.196 0.538
O: 0.482 0.615 0.596
O: 0.483 0.092 0.309

Peak list (10 most intense, 2θ = 10–90°, most intense first)
2θ (°)  d_spacing  I/Imax  (hkl)
27.3  3.272  100  1 0 2
27.5  3.245  45  2 1 -2
31.9  2.809  37  2 2 0
19.2  4.623  26  0 2 0
21.0  4.231  15  1 1 1
28.9  3.087  12  1 1 2
33.5  2.671  11  1 2 2
27.0  3.302  10  2 1 0
53.9  1.702  9  3 3 -4
31.7  2.822  8  1 3 0

=====

# 2
This entry pairs a crystal structure of CaMoAsO5 with its theoretical PXRD pattern. Radiation: CuKα. Structure: DFT lattice parameters and positions (GGA+U).
Lines closer than 0.1° are merged.

Cell lengths 6.144, 8.261, 9.455 Å; angles 94.94, 91.15, 97.11 degrees
Space group P1 (No. 1)
Unique sites:
Ca: 0.000 0.000 0.000
Ca: 0.008 0.512 0.851
Ca: 0.519 0.652 0.564
Ca: 0.542 0.159 0.333
Mo: 0.225 0.599 0.204
Mo: 0.319 0.071 0.686
Mo: 0.702 0.612 0.197
Mo: 0.826 0.093 0.665
As: 0.059 0.976 0.350
As: 0.471 0.762 0.907
As: 0.601 0.242 0.987
As: 0.939 0.446 0.483
O: 0.009 0.941 0.735
O: 0.113 0.235 0.652
O: 0.160 0.104 0.227
O: 0.180 0.573 0.414
O: 0.225 0.709 0.020
O: 0.281 0.981 0.465
O: 0.353 0.116 0.898
O: 0.376 0.597 0.780
O: 0.403 0.441 0.164
O: 0.491 0.761 0.266
O: 0.555 0.917 0.675
O: 0.603 0.216 0.606
O: 0.674 0.111 0.113
O: 0.697 0.493 0.378
O: 0.713 0.690 0.993
O: 0.827 0.017 0.438
O: 0.830 0.200 0.867
O: 0.876 0.566 0.635
O: 0.944 0.481 0.126
O: 0.991 0.788 0.252

Peak list (10 most intense, 2θ = 10–90°, most intense first)
2θ (°)  d_spacing  I/Imax  (hkl)
21.8  4.083  100  0 2 0
29.6  3.021  87  0 1 -3
31.5  2.844  87  0 1 3
15.0  5.913  87  0 1 1
13.7  6.461  80  0 1 -1
24.7  3.608  54  1 -2 0
33.5  2.677  38  2 1 -1
30.2  2.957  37  0 2 2
34.6  2.595  37  2 1 1
39.0  2.307  35  2 2 0

=====

# 3
This entry pairs a crystal structure of CaNiAs2O7 with its theoretical PXRD pattern. Radiation: CuKα. Structure: DFT lattice parameters and positions (GGA+U).
Lines closer than 0.1° are merged.

Cell lengths 7.425, 9.068, 9.431 Å; angles 90.00, 110.35, 90.00 degrees
Space group P2_1/c (No. 14)
Unique sites:
Ca: 0.245 0.065 0.063
Ni: 0.302 0.058 0.695
As: 0.080 0.739 0.766
As: 0.482 0.701 0.047
O: 0.070 0.639 0.610
O: 0.131 0.232 0.700
O: 0.156 0.582 0.283
O: 0.252 0.643 0.924
O: 0.352 0.187 0.540
O: 0.492 0.087 0.304
O: 0.495 0.616 0.598

Peak list (10 most intense, 2θ = 10–90°, most intense first)
2θ (°)  d_spacing  I/Imax  (hkl)
27.9  3.197  100  1 2 -2
27.4  3.254  77  1 0 2
28.3  3.152  74  2 1 -2
32.4  2.760  65  2 2 0
21.2  4.193  37  1 1 1
32.3  2.773  23  1 3 0
19.6  4.534  22  0 2 0
33.9  2.644  19  1 2 2
40.1  2.248  18  3 1 0
55.4  1.657  17  3 3 -4